No. 1
Calculated powder diffractogram
Compound: Nd5CoTe4
Radiation: Cu Ka
Structure: a DFT-relaxed cell (GGA-PBE, Alexandria)
Peak positions follow from Bragg's law for the DFT cell and can differ from measured ones.

Main lines, most intense first (10 to 90 degrees two-theta):
d_spacing, 2θ/deg, I/Imax
3.128, 28.54, 100
2.226, 40.52, 78
3.169, 28.16, 58
1.814, 50.31, 33
2.212, 40.80, 31
1.414, 66.10, 18
2.518, 35.66, 16
1.288, 73.51, 16
1.280, 74.09, 12
1.402, 66.69, 11
1.575, 58.61, 10
2.925, 30.56, 10

Lattice parameters (Å, degrees): 9.891 9.891 6.339 90.00 90.00 90.00
Space group I4/m (No. 87)
One atom of each set of equivalent atoms:
Nd1 0.000 0.000 0.000 x2
Nd2 0.092 0.259 0.500 x8
Co1 0.000 0.000 0.500 x2
Te1 0.087 0.309 0.000 x8

No. 2
Calculated powder diffractogram
Compound: Fe3CoH7
Radiation: Cu Ka
Structure: a DFT-relaxed cell (GGA-PBE, Alexandria)
Peak positions follow from Bragg's law for the DFT cell and can differ from measured ones.

Main lines, most intense first (10 to 90 degrees two-theta):
d_spacing, 2θ/deg, I/Imax
2.310, 38.98, 100
2.015, 44.99, 40
2.345, 38.38, 35
1.995, 45.45, 19
1.427, 65.42, 13
1.409, 66.33, 13
1.214, 78.85, 11
1.222, 78.19, 7
1.212, 79.04, 7
1.208, 79.30, 7
1.204, 79.60, 7
1.431, 65.18, 7

Lattice parameters (Å, degrees): 5.726 5.673 4.872 90.00 124.99 90.00
Space group Cm (No. 8)
One atom of each set of equivalent atoms:
Fe1 0.000 0.000 0.000 x2
Fe2 0.002 0.253 0.511 x4
Co1 0.015 0.500 0.019 x2
H1 0.129 0.252 0.258 x4
H2 0.129 0.500 0.765 x2
H3 0.369 0.000 0.234 x2
H4 0.374 0.239 0.763 x4
H5 0.383 0.500 0.271 x2

No. 3
Calculated powder diffractogram
Compound: KAc4Au5
Radiation: Cu Ka
Structure: a DFT-relaxed cell (GGA-PBE, Alexandria)
Peak positions follow from Bragg's law for the DFT cell and can differ from measured ones.

Main lines, most intense first (10 to 90 degrees two-theta):
d_spacing, 2θ/deg, I/Imax
2.799, 31.97, 100
2.767, 32.36, 54
1.604, 57.47, 39
1.956, 46.41, 20
1.622, 56.74, 15
1.237, 77.08, 9
1.400, 66.85, 9
2.540, 35.34, 9
1.240, 76.87, 8
2.003, 45.27, 7
1.383, 67.74, 7
6.676, 13.26, 5

Lattice parameters (Å, degrees): 3.913 3.913 20.029 90.00 90.00 90.00
Space group P4/mmm (No. 123)
One atom of each set of equivalent atoms:
K1 0.000 0.000 0.000 x1
Ac1 0.000 0.000 0.205 x2
Ac2 0.000 0.000 0.403 x2
Au1 0.500 0.500 0.122 x2
Au2 0.500 0.500 0.304 x2
Au3 0.500 0.500 0.500 x1

No. 4
Calculated powder diffractogram
Compound: ZrCoPb2
Radiation: Cu Ka
Structure: a DFT-relaxed cell (GGA-PBE, Alexandria)
Peak positions follow from Bragg's law for the DFT cell and can differ from measured ones.

Main lines, most intense first (10 to 90 degrees two-theta):
d_spacing, 2θ/deg, I/Imax
2.463, 36.48, 100
2.515, 35.71, 76
2.730, 32.80, 58
4.320, 20.56, 41
2.160, 41.83, 35
1.694, 54.15, 28
2.625, 34.16, 25
1.508, 61.50, 22
2.998, 29.80, 16
2.403, 37.42, 16
2.100, 43.08, 14
1.298, 72.88, 13

Lattice parameters (Å, degrees): 3.341 4.320 6.062 90.00 98.43 90.00
Space group P2/m (No. 10)
One atom of each set of equivalent atoms:
Zr1 0.000 0.000 0.000 x1
Co1 0.500 0.000 0.500 x1
Pb1 0.343 0.500 0.733 x2

No. 5
Calculated powder diffractogram
Compound: MgZrV3
Radiation: Cu Ka
Structure: a DFT-relaxed cell (GGA-PBE, Alexandria)
Peak positions follow from Bragg's law for the DFT cell and can differ from measured ones.

Main lines, most intense first (10 to 90 degrees two-theta):
d_spacing, 2θ/deg, I/Imax
2.666, 33.62, 100
2.309, 39.02, 75
1.632, 56.36, 47
1.392, 67.25, 35
3.265, 27.32, 26
1.333, 70.68, 15
1.885, 48.28, 11
1.154, 83.81, 7
1.234, 77.33, 5
1.460, 63.74, 5
4.617, 19.22, 2
2.065, 43.85, 1

Lattice parameters (Å, degrees): 4.617 4.617 4.617 90.00 90.00 90.00
Space group Pm-3m (No. 221)
One atom of each set of equivalent atoms:
Mg1 0.000 0.000 0.000 x1
Zr1 0.500 0.500 0.500 x1
V1 0.000 0.000 0.500 x3

No. 6
Calculated powder diffractogram
Compound: NaCaClO
Radiation: Cu Ka
Structure: a DFT-relaxed cell (GGA-PBE, Alexandria)
Peak positions follow from Bragg's law for the DFT cell and can differ from measured ones.

Main lines, most intense first (10 to 90 degrees two-theta):
d_spacing, 2θ/deg, I/Imax
2.141, 42.22, 100
3.348, 26.63, 80
2.685, 33.37, 61
1.652, 55.65, 57
3.607, 24.68, 47
2.596, 34.54, 45
1.116, 87.40, 14
1.236, 77.19, 13
1.674, 54.85, 13
2.849, 31.40, 12
1.319, 71.56, 11
1.491, 62.28, 11

Lattice parameters (Å, degrees): 4.2811 4.2811 31.1580 90.00 90.00 120.00
Space group R-3m (No. 166, hexagonal axes)
One atom of each set of equivalent atoms:
Na1 0.0000 0.0000 0.2205 x6
Ca1 0.0000 0.0000 0.3694 x6
Cl1 0.0000 0.0000 0.1201 x6
O1 0.0000 0.0000 0.2983 x6